This entry pairs a crystal structure of Cu2As with its simulated powder diffractogram. Radiation: Cu Kα. Structure: a GGA-PBE-relaxed structure.
Kinematic intensities with the Lorentz-polarization factor, no thermal factor.

Structural model:
a = 3.799 Å, b = 3.799 Å, c = 5.946 Å
α = 90.00°, β = 90.00°, γ = 90.00°
Positions (direct):
Cu 0.250 0.250 0.200
Cu 0.250 0.750 0.500
Cu 0.750 0.250 0.500
Cu 0.750 0.750 0.800
As 0.250 0.250 0.789
As 0.750 0.750 0.211

Peak list (8 most intense, 2θ = 10–90°, in order of falling intensity)
2θ/deg	I_rel	(hkl)
45.5	100	1 1 2
36.7	60	1 1 1
47.9	53	2 0 0
87.6	28	3 1 2
68.4	23	2 0 3
45.8	21	0 0 3
33.4	19	1 1 0
70.0	16	2 2 0